Record 1
Structure and simulated powder diffractogram of Ce3HfSb5 (a structure optimized by DFT (PBE); Cu Kα).
Peak positions follow from Bragg's law for the DFT cell and can differ from measured ones.

Structural model:
abc: 9.399 9.399 6.318
angles: 90.00 90.00 120.00
Sites, in units of the cell vectors:
Ce 0.000 0.385 0.250
Ce 0.000 0.615 0.750
Ce 0.385 0.000 0.250
Ce 0.385 0.385 0.750
Ce 0.615 0.000 0.750
Ce 0.615 0.615 0.250
Hf 0.000 0.000 0.000
Hf 0.000 0.000 0.500
Sb 0.000 0.265 0.750
Sb 0.000 0.735 0.250
Sb 0.265 0.000 0.750
Sb 0.265 0.265 0.250
Sb 0.333 0.667 0.000
Sb 0.333 0.667 0.500
Sb 0.667 0.333 0.000
Sb 0.667 0.333 0.500
Sb 0.735 0.000 0.250
Sb 0.735 0.735 0.750

Principal peaks in the range 15° ≤ 2θ ≤ 90°, by angle:
- 32.36 deg, I = 578
- 33.01 deg, I = 795
- 34.20 deg, I = 1000
- 42.52 deg, I = 154
- 48.27 deg, I = 277
- 50.99 deg, I = 93
- 52.67 deg, I = 144
- 59.72 deg, I = 170
- 62.10 deg, I = 95
- 68.77 deg, I = 187

---

Record 2
Structure and simulated powder diffractogram of Cs2SF6 (a structure optimized by DFT (PBE); Cu Kα).
Peak positions follow from Bragg's law for the DFT cell and can differ from measured ones.

Structural model:
abc: 6.476 6.476 6.476
angles: 60.00 60.00 60.00
Sites, in units of the cell vectors:
Cs 0.250 0.250 0.250
Cs 0.750 0.750 0.750
S 0.000 0.000 0.000
F 0.205 0.205 0.795
F 0.205 0.795 0.205
F 0.205 0.795 0.795
F 0.795 0.205 0.205
F 0.795 0.205 0.795
F 0.795 0.795 0.205

Principal peaks in the range 15° ≤ 2θ ≤ 90°, by angle:
- 19.38 deg, I = 512
- 27.55 deg, I = 1000
- 33.90 deg, I = 586
- 39.35 deg, I = 402
- 44.22 deg, I = 325
- 48.71 deg, I = 347
- 56.87 deg, I = 228
- 60.67 deg, I = 176
- 64.33 deg, I = 225
- 78.08 deg, I = 232

---

Record 3
Structure and simulated powder diffractogram of La14YHo (a structure optimized by DFT (PBE); Cu Kα).
Peak positions follow from Bragg's law for the DFT cell and can differ from measured ones.

Structural model:
abc: 10.517 7.390 7.390
angles: 89.96 90.00 90.00
Sites, in units of the cell vectors:
La 0.000 0.000 0.000
La 0.000 0.000 0.500
La 0.000 0.499 0.499
La 0.000 0.500 0.000
La 0.251 0.251 0.251
La 0.251 0.251 0.749
La 0.251 0.749 0.251
La 0.251 0.749 0.749
La 0.500 0.000 0.499
La 0.500 0.499 0.000
La 0.749 0.251 0.251
La 0.749 0.251 0.749
La 0.749 0.749 0.251
La 0.749 0.749 0.749
Y 0.500 0.999 0.999
Ho 0.500 0.500 0.500

Principal peaks in the range 15° ≤ 2θ ≤ 90°, by angle:
- 29.55 deg, I = 1000
- 34.10 deg, I = 171
- 34.32 deg, I = 336
- 49.16 deg, I = 243
- 49.32 deg, I = 120
- 58.26 deg, I = 145
- 58.55 deg, I = 287
- 61.33 deg, I = 124
- 79.76 deg, I = 116
- 80.01 deg, I = 58

---

Record 4
Structure and simulated powder diffractogram of Tl2Sb (a structure optimized by DFT (PBE); Cu Kα).
Peak positions follow from Bragg's law for the DFT cell and can differ from measured ones.

Structural model:
abc: 3.431 3.431 16.171
angles: 90.00 90.00 90.00
Sites, in units of the cell vectors:
Tl 0.000 0.000 0.154
Tl 0.000 0.000 0.846
Tl 0.500 0.500 0.346
Tl 0.500 0.500 0.654
Sb 0.000 0.000 0.500
Sb 0.500 0.500 0.000

Principal peaks in the range 15° ≤ 2θ ≤ 90°, by angle:
- 21.99 deg, I = 71
- 30.89 deg, I = 1000
- 33.24 deg, I = 178
- 37.06 deg, I = 324
- 50.62 deg, I = 221
- 53.41 deg, I = 114
- 57.94 deg, I = 114
- 62.98 deg, I = 266
- 64.38 deg, I = 108
- 82.71 deg, I = 84